Calculated powder diffraction line list of CdNi4H8 for Cu Kα X-rays, from a crystal structure in Alexandria, relaxed with GGA-PBE.
Lines closer than 0.1° are merged.

abc: 8.9387 5.1460 5.0954
angles: 90.00 106.02 90.00
Space group C2/m (No. 12)
Unique sites:
1 Cd 0.0000 0.0000 0.0000 (multiplicity 2)
2 Ni 0.0000 0.2509 0.5000 (multiplicity 4)
3 Ni 0.2433 0.0000 0.4563 (multiplicity 4)
4 H 0.1080 0.5000 0.6890 (multiplicity 4)
5 H 0.1169 0.0000 0.6484 (multiplicity 4)
6 H 0.1449 0.2721 0.3338 (multiplicity 8)

Most intense lines, 10 to 90 degrees two-theta, by angle:
| (hkl) | 2theta | intensity |
| --- | --- | --- |
| 0 0 1 | 18.1 | 80 |
| 1 1 0 | 20.1 | 75 |
| 2 0 0 | 20.7 | 33 |
| 1 1 -1 | 25.2 | 65 |
| 0 0 2 | 36.7 | 71 |
| 4 0 -1 | 40.9 | 26 |
| 4 0 0 | 42.1 | 52 |
| 2 2 -1 | 42.5 | 100 |
| 2 2 1 | 47.5 | 80 |
| 4 0 -2 | 48.0 | 36 |

***

Calculated powder diffraction line list of CdNi6H3 for Cu Kα X-rays, from a crystal structure in Alexandria, relaxed with GGA-PBE.
Lines closer than 0.1° are merged.

abc: 4.3999 4.6238 4.7780
angles: 97.74 95.80 104.06
Space group P1 (No. 1)
Unique sites:
1 Cd 0.0000 0.0000 0.0000 (multiplicity 1)
2 Ni 0.1322 0.3050 0.5608 (multiplicity 1)
3 Ni 0.2901 0.5960 0.1634 (multiplicity 1)
4 Ni 0.4118 0.8662 0.6790 (multiplicity 1)
5 Ni 0.5682 0.1741 0.2945 (multiplicity 1)
6 Ni 0.6871 0.4217 0.8459 (multiplicity 1)
7 Ni 0.8434 0.7280 0.4347 (multiplicity 1)
8 H 0.3648 0.5554 0.8288 (multiplicity 1)
9 H 0.7479 0.1061 0.5887 (multiplicity 1)
10 H 0.8704 0.4495 0.1874 (multiplicity 1)

Most intense lines, 10 to 90 degrees two-theta, by angle:
| (hkl) | 2theta | intensity |
| --- | --- | --- |
| 1 0 -2 | 41.4 | 100 |
| 0 2 -1 | 42.2 | 48 |
| 2 -1 0 | 42.3 | 48 |
| 1 -1 2 | 46.1 | 36 |
| -1 2 1 | 47.0 | 34 |
| 2 1 -1 | 52.8 | 24 |
| 0 1 3 | 66.7 | 10 |
| 2 -3 1 | 69.2 | 10 |
| -3 1 2 | 73.4 | 9 |
| -2 2 3 | 82.9 | 11 |

***

Calculated powder diffraction line list of PmCdNi4H6 for Cu Kα X-rays, from a crystal structure in Alexandria, relaxed with GGA-PBE.
Lines closer than 0.1° are merged.

abc: 4.4100 4.4100 6.6612
angles: 90.00 90.00 120.00
Space group P6/mmm (No. 191)
Unique sites:
1 Pm 0.0000 0.0000 0.0000 (multiplicity 1)
2 Cd 0.0000 0.0000 0.5000 (multiplicity 1)
3 Ni 0.3333 0.6667 0.3137 (multiplicity 4)
4 H 0.0000 0.5000 0.1650 (multiplicity 6)

Most intense lines, 10 to 90 degrees two-theta, by angle:
| (hkl) | 2theta | intensity |
| --- | --- | --- |
| 1 0 0 | 23.3 | 19 |
| 1 0 1 | 26.9 | 11 |
| 1 0 2 | 35.8 | 100 |
| 1 1 0 | 40.9 | 74 |
| 2 0 2 | 55.5 | 27 |
| 1 1 3 | 59.0 | 14 |
| 1 0 4 | 60.7 | 12 |
| 2 1 2 | 71.2 | 25 |
| 3 0 0 | 74.5 | 12 |
| 2 1 4 | 89.9 | 8 |

***

Calculated powder diffraction line list of PuCdNi2H8 for Cu Kα X-rays, from a crystal structure in Alexandria, relaxed with GGA-PBE.
Lines closer than 0.1° are merged.

abc: 4.6004 4.6004 17.2165
angles: 90.00 90.00 120.00
Space group R-3 (No. 148, hexagonal axes)
Unique sites:
1 Pu 0.0000 0.0000 0.0000 (multiplicity 3)
2 Cd 0.0000 0.0000 0.5000 (multiplicity 3)
3 Ni 0.0000 0.0000 0.2280 (multiplicity 6)
4 H 0.0000 0.0000 0.3183 (multiplicity 6)
5 H 0.0307 0.2957 0.8955 (multiplicity 18)

Most intense lines, 10 to 90 degrees two-theta, by angle:
| (hkl) | 2theta | intensity |
| --- | --- | --- |
| 1 0 1 | 22.9 | 18 |
| 0 1 2 | 24.6 | 39 |
| 1 0 4 | 30.6 | 100 |
| 0 1 5 | 34.4 | 14 |
| 1 1 0 | 39.2 | 56 |
| 0 1 8 | 48.1 | 22 |
| 0 2 4 | 50.5 | 25 |
| 2 -1 6 | 50.9 | 16 |
| 2 1 4 | 65.7 | 22 |
| 3 -2 8 | 77.3 | 11 |

***

Calculated powder diffraction line list of Sr2CdNiH6 for Cu Kα X-rays, from a crystal structure in Alexandria, relaxed with GGA-PBE.
Lines closer than 0.1° are merged.

abc: 7.7855 7.8056 5.5106
angles: 90.00 134.74 90.00
Space group C2/m (No. 12)
Unique sites:
1 Sr 0.0000 0.2505 0.0000 (multiplicity 4)
2 Cd 0.0000 0.0000 0.5000 (multiplicity 2)
3 Ni 0.0000 0.5000 0.5000 (multiplicity 2)
4 H 0.0000 0.2851 0.5000 (multiplicity 4)
5 H 0.2139 0.5000 0.4976 (multiplicity 4)
6 H 0.2139 0.5000 0.9303 (multiplicity 4)

Most intense lines, 10 to 90 degrees two-theta, by angle:
| (hkl) | 2theta | intensity |
| --- | --- | --- |
| 2 0 0 | 32.4 | 100 |
| 2 2 -1 | 32.5 | 99 |
| 0 0 2 | 46.4 | 12 |
| 0 4 0 | 46.5 | 12 |
| 4 0 -2 | 46.7 | 12 |
| 2 2 1 | 57.7 | 12 |
| 2 4 0 | 57.9 | 48 |
| 4 2 -3 | 58.0 | 12 |
| 4 0 0 | 67.8 | 11 |
| 4 4 -2 | 68.0 | 11 |

***

Calculated powder diffraction line list of Cd3H4O4 for Cu Kα X-rays, from a crystal structure in Alexandria, relaxed with GGA-PBE.
Lines closer than 0.1° are merged.

abc: 6.2516 6.2516 6.2516
angles: 90.00 90.00 90.00
Space group I-43m (No. 217)
Unique sites:
1 Cd 0.0000 0.0000 0.5000 (multiplicity 6)
2 H 0.2196 0.2196 0.7804 (multiplicity 8)
3 O 0.1897 0.1897 0.1897 (multiplicity 8)

Most intense lines, 10 to 90 degrees two-theta, by angle:
| (hkl) | 2theta | intensity |
| --- | --- | --- |
| 1 1 0 | 20.1 | 47 |
| 2 0 0 | 28.6 | 75 |
| 2 1 1 | 35.2 | 34 |
| 2 2 0 | 40.8 | 100 |
| 3 1 0 | 45.9 | 18 |
| 2 2 2 | 50.6 | 24 |
| 3 2 1 | 55.0 | 11 |
| 4 0 0 | 59.1 | 13 |
| 4 2 0 | 66.9 | 34 |
| 4 2 2 | 74.3 | 26 |